Entry 1:
For CaTlIn, a structure optimized by DFT (GGA-PBE) gives the theoretical powder diffractogram in this record (Cu Kα (λ = 1.5418 Å)).
Kinematic intensities with the Lorentz-polarization factor, no thermal factor.

```
data_CaTlIn
_chemical_formula_sum 'Ca4 Tl4 In4'
_cell_length_a 11.724
_cell_length_b 5.055
_cell_length_c 7.611
_cell_angle_alpha 90.00
_cell_angle_beta 130.05
_cell_angle_gamma 90.00
_space_group_name_H-M_alt 'C 1 m 1'
_space_group_IT_number 8
loop_
_space_group_symop_operation_xyz
'x,y,z'
'x,-y,z'
'x+1/2,y+1/2,z'
'x+1/2,-y+1/2,z'
loop_
_atom_site_label
_atom_site_fract_x
_atom_site_fract_y
_atom_site_fract_z
Ca1 0.000 0.000 0.000
Ca2 0.048 0.000 0.552
Tl1 0.181 0.500 0.376
Tl2 0.192 0.500 0.916
In1 0.355 0.000 0.180
In2 0.359 0.000 0.608
```

Principal peaks in the range 10 to 90 degrees two-theta, low angle first:
2θ = 20.16°, d = 4.404 Å, rel. 39, hkl 1 1 0; 2θ = 23.38°, d = 3.806 Å, rel. 38, hkl 2 0 -2; 2θ = 30.98°, d = 2.887 Å, rel. 100, hkl 1 1 -2; 2θ = 34.85°, d = 2.574 Å, rel. 67, hkl 3 1 0; 2θ = 35.52°, d = 2.527 Å, rel. 33, hkl 0 2 0; 2θ = 47.80°, d = 1.903 Å, rel. 24, hkl 4 2 -2

***

Entry 2:
For CaTl3In3, a structure optimized by DFT (GGA-PBE) gives the theoretical powder diffractogram in this record (Cu Kα (λ = 1.5418 Å)).
Kinematic intensities with the Lorentz-polarization factor, no thermal factor.

```
data_CaTl3In3
_chemical_formula_sum 'Ca2 Tl6 In6'
_cell_length_a 8.225
_cell_length_b 8.225
_cell_length_c 8.225
_cell_angle_alpha 90.00
_cell_angle_beta 90.00
_cell_angle_gamma 90.00
_space_group_name_H-M_alt 'P m -3 n'
_space_group_IT_number 223
_space_group_name_Hall '-P 4n 2 3'
loop_
_atom_site_label
_atom_site_fract_x
_atom_site_fract_y
_atom_site_fract_z
Ca1 0.000 0.000 0.000
Tl1 0.000 0.250 0.500
In1 0.000 0.500 0.250
```

Principal peaks in the range 10 to 90 degrees two-theta, low angle first:
2θ = 15.23°, d = 5.816 Å, rel. 100, hkl 1 1 0; 2θ = 21.61°, d = 4.112 Å, rel. 40, hkl 2 0 0; 2θ = 26.55°, d = 3.358 Å, rel. 96, hkl 2 1 1; 2θ = 37.89°, d = 2.374 Å, rel. 80, hkl 2 2 2; 2θ = 41.06°, d = 2.198 Å, rel. 60, hkl 3 2 1; 2θ = 44.04°, d = 2.056 Å, rel. 47, hkl 4 0 0

***

Entry 3:
For Ca2Tl8In, a structure optimized by DFT (GGA-PBE) gives the theoretical powder diffractogram in this record (Cu Kα (λ = 1.5418 Å)).
Kinematic intensities with the Lorentz-polarization factor, no thermal factor.

```
data_Ca2Tl8In
_chemical_formula_sum 'Ca2 Tl8 In1'
_cell_length_a 5.201
_cell_length_b 5.201
_cell_length_c 12.230
_cell_angle_alpha 90.00
_cell_angle_beta 90.00
_cell_angle_gamma 90.00
_space_group_name_H-M_alt 'P 4/m m m'
_space_group_IT_number 123
_space_group_name_Hall '-P 4 2'
loop_
_atom_site_label
_atom_site_fract_x
_atom_site_fract_y
_atom_site_fract_z
Ca1 0.000 0.000 0.180
Tl1 0.000 0.500 0.000
Tl2 0.000 0.500 0.355
Tl3 0.500 0.500 0.179
In1 0.000 0.000 0.500
```

Principal peaks in the range 10 to 90 degrees two-theta, low angle first:
2θ = 24.20°, d = 3.677 Å, rel. 13, hkl 1 1 0; 2θ = 32.80°, d = 2.731 Å, rel. 100, hkl 1 1 3; 2θ = 34.49°, d = 2.600 Å, rel. 48, hkl 2 0 0; 2θ = 49.58°, d = 1.839 Å, rel. 17, hkl 2 2 0; 2θ = 57.44°, d = 1.604 Å, rel. 15, hkl 2 0 6; 2θ = 60.72°, d = 1.525 Å, rel. 35, hkl 3 1 3

***

Entry 4:
For Ca2TlIn4, a structure optimized by DFT (GGA-PBE) gives the theoretical powder diffractogram in this record (Cu Kα (λ = 1.5418 Å)).
Kinematic intensities with the Lorentz-polarization factor, no thermal factor.

```
data_Ca2TlIn4
_chemical_formula_sum 'Ca8 Tl4 In16'
_cell_length_a 8.443
_cell_length_b 9.489
_cell_length_c 10.426
_cell_angle_alpha 90.00
_cell_angle_beta 90.00
_cell_angle_gamma 90.00
_space_group_name_H-M_alt 'F m m m'
_space_group_IT_number 69
_space_group_name_Hall '-F 2 2'
loop_
_atom_site_label
_atom_site_fract_x
_atom_site_fract_y
_atom_site_fract_z
Ca1 0.250 0.250 0.000
Tl1 0.000 0.000 0.000
In1 0.000 0.250 0.250
In2 0.250 0.000 0.250
```

Principal peaks in the range 10 to 90 degrees two-theta, low angle first:
2θ = 16.42°, d = 5.397 Å, rel. 38, hkl 1 1 1; 2θ = 33.20°, d = 2.698 Å, rel. 100, hkl 2 2 2; 2θ = 34.39°, d = 2.608 Å, rel. 29, hkl 0 0 4; 2θ = 37.93°, d = 2.372 Å, rel. 17, hkl 0 4 0; 2θ = 52.13°, d = 1.754 Å, rel. 14, hkl 0 4 4; 2θ = 60.87°, d = 1.522 Å, rel. 17, hkl 2 2 6